[1]
Structure and calculated powder XRD pattern of CaCuSiH2O5 (a structure optimized by DFT (GGA-PBE); copper Kα).

Crystal structure
```
data_CaCuSiH2O5
_chemical_formula_sum 'Ca4 Cu4 Si4 H8 O20'
_space_group_name_H-M_alt 'P 1 21/c 1'
_space_group_IT_number 14
_cell_length_a 5.087
_cell_length_b 16.302
_cell_length_c 5.397
_cell_angle_alpha 90.00
_cell_angle_beta 102.92
_cell_angle_gamma 90.00
loop_
_space_group_symop_operation_xyz
'x,y,z'
'-x,-y,-z'
'-x,y+1/2,-z+1/2'
'x,-y+1/2,z+1/2'
loop_
_atom_site_label
_atom_site_fract_x
_atom_site_fract_y
_atom_site_fract_z
Ca1 0.152 0.176 0.344
Cu1 0.000 0.000 0.000
Cu2 0.500 0.000 0.500
Si1 0.481 0.110 0.969
H1 0.164 0.672 0.748
H2 0.330 0.744 0.926
O1 0.150 0.712 0.882
O2 0.187 0.603 0.465
O3 0.342 0.054 0.168
O4 0.347 0.086 0.671
O5 0.401 0.205 0.024
```

Most intense lines, 2θ = 5–70°, sorted by position:
Position (°2θ), I/Imax
10.9, 56
17.7, 21
22.4, 40
27.3, 52
32.0, 100
34.1, 20
35.2, 44
56.4, 24

***

[2]
Structure and calculated powder XRD pattern of Sr4CaPr2Cu4HgO14 (a structure optimized by DFT (GGA-PBE); copper Kα).

Crystal structure
```
data_Sr4CaPr2Cu4HgO14
_chemical_formula_sum 'Sr8 Ca2 Pr4 Cu8 Hg2 O28'
_space_group_name_H-M_alt 'I -4 m 2'
_space_group_IT_number 119
_space_group_name_Hall 'I -4 -2'
_cell_length_a 5.384
_cell_length_b 5.384
_cell_length_c 24.920
_cell_angle_alpha 90.00
_cell_angle_beta 90.00
_cell_angle_gamma 90.00
loop_
_atom_site_label
_atom_site_fract_x
_atom_site_fract_y
_atom_site_fract_z
Sr1 0.000 0.000 0.144
Sr2 0.000 0.000 0.355
Ca1 0.000 0.000 0.000
Pr1 0.000 0.000 0.500
Pr2 0.000 0.500 0.250
Cu1 0.000 0.500 0.073
Cu2 0.000 0.500 0.571
Hg1 0.000 0.500 0.750
O1 0.000 0.000 0.250
O2 0.000 0.500 0.159
O3 0.000 0.500 0.664
O4 0.249 0.251 0.564
```

Most intense lines, 2θ = 5–70°, sorted by position:
Position (°2θ), I/Imax
24.5, 16
27.5, 18
31.9, 100
33.3, 67
44.5, 18
47.8, 36
55.9, 19
58.6, 36

***

[3]
Structure and calculated powder XRD pattern of Sr6CaY2TiCu6Hg2O20 (a structure optimized by DFT (GGA-PBE); copper Kα).

Crystal structure
```
data_Sr6CaY2TiCu6Hg2O20
_chemical_formula_sum 'Sr6 Ca1 Y2 Ti1 Cu6 Hg2 O20'
_space_group_name_H-M_alt 'P m m m'
_space_group_IT_number 47
_cell_length_a 3.770
_cell_length_b 11.629
_cell_length_c 12.132
_cell_angle_alpha 90.00
_cell_angle_beta 90.00
_cell_angle_gamma 90.00
loop_
_space_group_symop_operation_xyz
'x,y,z'
'-x,-y,-z'
'-x,-y,z'
'x,y,-z'
'x,-y,-z'
'-x,y,z'
'-x,y,-z'
'x,-y,z'
loop_
_atom_site_label
_atom_site_fract_x
_atom_site_fract_y
_atom_site_fract_z
Sr1 0.000 0.000 0.225
Sr2 0.000 0.338 0.205
Ca1 0.000 0.000 0.500
Y1 0.000 0.332 0.500
Ti1 0.500 0.500 0.000
Cu1 0.500 0.167 0.366
Cu2 0.500 0.500 0.364
Hg1 0.500 0.169 0.000
O1 0.000 0.172 0.376
O2 0.000 0.387 0.000
O3 0.000 0.500 0.379
O4 0.500 0.000 0.369
O5 0.500 0.165 0.167
O6 0.500 0.334 0.377
O7 0.500 0.500 0.155
```

Most intense lines, 2θ = 5–70°, sorted by position:
Position (°2θ), I/Imax
32.0, 72
32.5, 68
33.1, 100
44.9, 25
46.9, 28
48.3, 29
58.2, 27
59.1, 25

***

[4]
Structure and calculated powder XRD pattern of Sr4CaHoCu6Pb4O16 (a structure optimized by DFT (GGA-PBE); copper Kα).

Crystal structure
```
data_Sr4CaHoCu6Pb4O16
_chemical_formula_sum 'Sr4 Ca1 Ho1 Cu6 Pb4 O16'
_space_group_name_H-M_alt 'P -1'
_space_group_IT_number 2
_cell_length_a 5.423
_cell_length_b 5.446
_cell_length_c 15.924
_cell_angle_alpha 89.86
_cell_angle_beta 89.42
_cell_angle_gamma 89.88
loop_
_space_group_symop_operation_xyz
'x,y,z'
'-x,-y,-z'
loop_
_atom_site_label
_atom_site_fract_x
_atom_site_fract_y
_atom_site_fract_z
Sr1 0.002 0.000 0.280
Sr2 0.498 0.499 0.719
Ca1 0.500 0.500 0.500
Ho1 0.000 0.000 0.500
Cu1 0.000 0.000 0.000
Cu2 0.000 0.500 0.395
Cu3 0.500 0.000 0.395
Cu4 0.500 0.500 0.000
Pb1 0.003 0.490 0.889
Pb2 0.496 0.996 0.111
O1 0.003 0.495 0.248
O2 0.049 0.947 0.114
O3 0.244 0.244 0.595
O4 0.244 0.755 0.405
O5 0.244 0.756 0.595
O6 0.245 0.245 0.406
O7 0.443 0.433 0.887
O8 0.497 0.995 0.752
```

Most intense lines, 2θ = 5–70°, sorted by position:
Position (°2θ), I/Imax
5.6, 37
23.8, 36
32.3, 97
32.5, 100
32.9, 67
33.0, 67
47.3, 31
58.5, 38

***

[5]
Structure and calculated powder XRD pattern of CaHo2CuSi4O12 (a structure optimized by DFT (GGA-PBE); copper Kα).

Crystal structure
```
data_CaHo2CuSi4O12
_chemical_formula_sum 'Ca1 Ho2 Cu1 Si4 O12'
_space_group_name_H-M_alt 'P -1'
_space_group_IT_number 2
_cell_length_a 5.231
_cell_length_b 7.525
_cell_length_c 7.969
_cell_angle_alpha 62.36
_cell_angle_beta 85.15
_cell_angle_gamma 77.83
loop_
_space_group_symop_operation_xyz
'x,y,z'
'-x,-y,-z'
loop_
_atom_site_label
_atom_site_fract_x
_atom_site_fract_y
_atom_site_fract_z
Ca1 0.000 0.000 0.000
Ho1 0.492 0.216 0.573
Cu1 0.500 0.000 0.000
Si1 0.075 0.804 0.764
Si2 0.089 0.571 0.230
O1 0.023 0.341 0.311
O2 0.152 0.670 0.997
O3 0.161 0.267 0.753
O4 0.167 0.012 0.251
O5 0.329 0.891 0.646
O6 0.342 0.548 0.349
```

Most intense lines, 2θ = 5–70°, sorted by position:
Position (°2θ), I/Imax
12.5, 69
13.6, 69
21.3, 60
21.6, 57
24.2, 40
26.7, 100
35.1, 71
35.3, 46

***

[6]
Structure and calculated powder XRD pattern of CaInCu4 (a structure optimized by DFT (GGA-PBE); copper Kα).

Crystal structure
```
data_CaInCu4
_chemical_formula_sum 'Ca4 In4 Cu16'
_space_group_name_H-M_alt 'F -4 3 m'
_space_group_IT_number 216
_space_group_name_Hall 'F -4 2 3'
_cell_length_a 7.259
_cell_length_b 7.259
_cell_length_c 7.259
_cell_angle_alpha 90.00
_cell_angle_beta 90.00
_cell_angle_gamma 90.00
loop_
_atom_site_label
_atom_site_fract_x
_atom_site_fract_y
_atom_site_fract_z
Ca1 0.000 0.000 0.000
In1 0.250 0.250 0.750
Cu1 0.124 0.124 0.376
```

Most intense lines, 2θ = 5–70°, sorted by position:
Position (°2θ), I/Imax
21.2, 10
24.5, 8
35.0, 31
41.2, 100
43.2, 37
56.7, 4
62.7, 10
67.0, 29

***

[7]
Structure and calculated powder XRD pattern of Ca2CuIrO6 (a structure optimized by DFT (GGA-PBE); copper Kα).

Crystal structure
```
data_Ca2CuIrO6
_chemical_formula_sum 'Ca8 Cu4 Ir4 O24'
_space_group_name_H-M_alt 'C 1 2 1'
_space_group_IT_number 5
_cell_length_a 9.023
_cell_length_b 9.360
_cell_length_c 6.487
_cell_angle_alpha 90.00
_cell_angle_beta 92.31
_cell_angle_gamma 90.00
loop_
_space_group_symop_operation_xyz
'x,y,z'
'-x,y,-z'
'x+1/2,y+1/2,z'
'-x+1/2,y+1/2,-z'
loop_
_atom_site_label
_atom_site_fract_x
_atom_site_fract_y
_atom_site_fract_z
Ca1 0.000 0.000 0.000
Ca2 0.000 0.195 0.500
Ca3 0.185 0.520 0.625
Cu1 0.000 0.431 0.000
Cu2 0.000 0.781 0.500
Ir1 0.249 0.843 0.762
O1 0.046 0.430 0.295
O2 0.053 0.754 0.787
O3 0.141 0.162 0.199
O4 0.144 0.015 0.678
O5 0.207 0.415 0.957
O6 0.210 0.776 0.468
```

Most intense lines, 2θ = 5–70°, sorted by position:
Position (°2θ), I/Imax
19.0, 43
19.1, 100
19.6, 55
27.5, 21
33.2, 30
33.4, 20
34.7, 23
44.6, 30